Theoretical powder diffraction line list of LaNd2Ge4Ir2Pd2 for a wavelength of 1.5418 Å, from a PBE-relaxed structure.
Lines closer than 0.1° are merged.

Crystal structure
Cell: 4.1283 4.3465 25.3070 Å, 90.00 90.00 90.00°
Space group Immm (No. 71)
One atom of each set of equivalent atoms:
La 0.0000 0.0000 0.0000 x2
Nd 0.0000 0.5000 0.1482 x4
Ge 0.0000 0.0000 0.4501 x4
Ge 0.0000 0.5000 0.3037 x4
Ir 0.0000 0.0000 0.2503 x4
Pd 0.0000 0.5000 0.4019 x4

Principal peaks in the range 10° ≤ 2θ ≤ 90°, low angle first:
hkl 1 0 7, 2θ 32.9, I 28
hkl 1 1 4, 2θ 33.1, I 100
hkl 0 2 0, 2θ 41.5, I 35
hkl 2 0 0, 2θ 43.9, I 23
hkl 0 1 11, 2θ 44.6, I 16
hkl 2 2 0, 2θ 62.0, I 16

Theoretical powder diffraction line list of SmTm2Ag4Ge4 for a wavelength of 1.5418 Å, from a PBE-relaxed structure.
Lines closer than 0.1° are merged.

Crystal structure
Cell: 4.2958 7.1825 14.4944 Å, 90.00 90.00 90.00°
Space group Immm (No. 71)
One atom of each set of equivalent atoms:
Sm 0.0000 0.0000 0.0000 x2
Tm 0.0000 0.5000 0.1253 x4
Ag 0.0000 0.3020 0.3309 x8
Ge 0.0000 0.0000 0.2192 x4
Ge 0.0000 0.1803 0.5000 x4

Principal peaks in the range 10° ≤ 2θ ≤ 90°, low angle first:
hkl 1 2 1, 2θ 33.1, I 100
hkl 0 1 5, 2θ 33.3, I 29
hkl 1 1 4, 2θ 34.7, I 97
hkl 1 2 3, 2θ 37.6, I 28
hkl 2 0 0, 2θ 42.1, I 79
hkl 2 3 3, 2θ 61.0, I 24

Theoretical powder diffraction line list of Dy2Ho5Al for a wavelength of 1.5418 Å, from a PBE-relaxed structure.
Lines closer than 0.1° are merged.

Crystal structure
Cell: 5.4786 7.0203 12.1654 Å, 90.00 90.00 90.00°
Space group Amm2 (No. 38)
One atom of each set of equivalent atoms:
Dy 0.0000 0.0000 0.0000 x2
Dy 0.5000 0.0000 0.3416 x2
Ho 0.0000 0.0000 0.5048 x2
Ho 0.0000 0.2435 0.7567 x4
Ho 0.5000 0.2444 0.5863 x4
Al 0.5000 0.0000 0.8373 x2

Principal peaks in the range 10° ≤ 2θ ≤ 90°, low angle first:
hkl 0 2 2, 2θ 29.4, I 25
hkl 2 0 0, 2θ 32.7, I 24
hkl 1 0 4, 2θ 33.7, I 100
hkl 0 4 0, 2θ 52.1, I 19
hkl 3 0 4, 2θ 59.0, I 20
hkl 2 4 0, 2θ 62.9, I 22

- Number 3 is which compound?
  Dy2Ho5Al

- What is the formula in the second record?
  SmTm2Ag4Ge4